Record 1
Simulated X-ray powder pattern
Compound: KTePb2
Radiation: a wavelength of 1.5418 Å
Structure: a structure optimized by DFT (GGA-PBE)
Kinematic intensities with the Lorentz-polarization factor, no thermal factor.

Main lines, in order of rising 2θ (2θ = 10–90°):
11.86 deg, rel. 56
28.94 deg, rel. 74
31.38 deg, rel. 24
31.55 deg, rel. 100
41.39 deg, rel. 29
41.80 deg, rel. 28
52.96 deg, rel. 47
60.29 deg, rel. 19

Atomic structure:
```
KTePb2
1.0
4.3628 0.0000 0.0000
0.0000 4.3628 0.0000
0.0000 0.0000 7.4621
K Te Pb
1 1 2
Direct
0.0000 0.0000 0.0000 K
0.5000 0.5000 0.7191 Te
0.0000 0.0000 0.5262 Pb
0.5000 0.5000 0.3071 Pb
```

Record 2
Simulated X-ray powder pattern
Compound: SmS6I2
Radiation: a wavelength of 1.5418 Å
Structure: a structure optimized by DFT (GGA-PBE)
Kinematic intensities with the Lorentz-polarization factor, no thermal factor.

Main lines, in order of rising 2θ (2θ = 10–90°):
10.84 deg, rel. 92
11.30 deg, rel. 79
11.60 deg, rel. 74
18.92 deg, rel. 100
27.26 deg, rel. 69
27.68 deg, rel. 57
28.88 deg, rel. 41
29.44 deg, rel. 48

Atomic structure:
```
SmS6I2
1.0
4.5004 0.0000 0.0000
-0.5144 8.7762 0.0000
-0.5062 -4.1299 8.1598
Sm S I
1 6 2
Direct
0.0000 0.0000 0.0000 Sm
0.0809 0.5080 0.7237 S
0.0892 0.7093 0.4642 S
0.1303 0.2993 0.3009 S
0.8697 0.7007 0.6991 S
0.9108 0.2907 0.5358 S
0.9191 0.4920 0.2763 S
0.4943 0.8597 0.1417 I
0.5057 0.1403 0.8583 I
```